This entry pairs a crystal structure of CoBi6S2O16 with its theoretical powder diffractogram. Radiation: Cu Kα X-rays. Structure: the GGA+U geometry in the Materials Project.
Lines closer than 0.1° are merged.

Atomic structure:
a b c (Å): 15.5722 5.6856 11.3729
angles (deg): 90.00 131.34 90.00
Space group C2 (No. 5)
Asymmetric unit:
Co 0.0000 0.0000 0.0000
Bi 0.0214 0.9741 0.6923
Bi 0.1540 0.4772 0.6477
Bi 0.1605 0.5563 0.9919
S 0.1520 0.4240 0.2865
O 0.0000 0.2414 0.5000
O 0.0000 0.7219 0.5000
O 0.0705 0.4507 0.3135
O 0.0853 0.9024 0.9401
O 0.1236 0.1999 0.1950
O 0.1358 0.6279 0.1892
O 0.1659 0.7128 0.8143
O 0.1715 0.2174 0.8189
O 0.2281 0.9092 0.5663

Top 6 peaks for 2θ = 10–90°, low angle first:
2θ 11.37, d 7.782, I 60, (2 0 -1); 2θ 22.96, d 3.874, I 26, (1 1 -2); 2θ 27.75, d 3.215, I 99, (3 1 0); 2θ 28.38, d 3.145, I 100, (3 1 -3); 2θ 31.45, d 2.845, I 58, (0 0 3); 2θ 45.07, d 2.011, I 26, (0 2 3)